No. 1
Structure and computed powder XRD pattern of Er7TlIn2 (a cell relaxed with GGA-PBE; Cu Kα, 1.54184 Å).
Neutral-atom scattering factors, no anomalous dispersion.

Crystal structure
Unit cell a=7.878 b=7.878 c=7.878 alpha=60.00 beta=60.00 gamma=60.00
Atoms (fractional coordinates):
Er 0.000 0.000 0.000
Er 0.246 0.246 0.754
Er 0.246 0.754 0.246
Er 0.246 0.754 0.754
Er 0.754 0.246 0.246
Er 0.754 0.246 0.754
Er 0.754 0.754 0.246
Tl 0.500 0.500 0.500
In 0.250 0.250 0.250
In 0.750 0.750 0.750

Main lines, sorted by position (2θ from 10° to 80°):
- 15.9°, I 45
- 27.7°, I 57
- 32.1°, I 100
- 46.1°, I 74
- 57.3°, I 26
- 76.5°, I 33

=====

No. 2
Structure and computed powder XRD pattern of Er2Tm4In (a cell relaxed with GGA-PBE; Cu Kα, 1.54184 Å).
Neutral-atom scattering factors, no anomalous dispersion.

Crystal structure
Unit cell a=11.474 b=6.355 c=11.919 alpha=70.41 beta=31.45 gamma=78.14
Atoms (fractional coordinates):
Er 0.202 0.798 0.273
Er 0.523 0.977 0.452
Er 0.798 0.202 0.727
Er 0.977 0.523 0.048
Tm 0.064 0.753 0.670
Tm 0.169 0.987 0.993
Tm 0.257 0.399 0.081
Tm 0.399 0.257 0.263
Tm 0.580 0.736 0.186
Tm 0.736 0.580 0.497
Tm 0.753 0.064 0.514
Tm 0.987 0.169 0.851
In 0.423 0.423 0.577
In 0.673 0.673 0.827

Main lines, sorted by position (2θ from 10° to 80°):
- 29.1°, I 73
- 30.5°, I 54
- 31.6°, I 54
- 32.5°, I 73
- 33.6°, I 100
- 34.0°, I 45

=====

No. 3
Structure and computed powder XRD pattern of Er5TmIn (a cell relaxed with GGA-PBE; Cu Kα, 1.54184 Å).
Neutral-atom scattering factors, no anomalous dispersion.

Crystal structure
Unit cell a=7.955 b=11.444 c=6.075 alpha=90.00 beta=90.00 gamma=90.00
Atoms (fractional coordinates):
Er 0.000 0.000 0.000
Er 0.000 0.248 0.675
Er 0.000 0.752 0.675
Er 0.184 0.500 0.793
Er 0.316 0.000 0.293
Er 0.500 0.252 0.175
Er 0.500 0.500 0.500
Er 0.500 0.748 0.175
Er 0.684 0.000 0.293
Er 0.816 0.500 0.793
Tm 0.000 0.500 0.296
Tm 0.500 0.000 0.796
In 0.000 0.000 0.522
In 0.500 0.500 0.022

Main lines, sorted by position (2θ from 10° to 80°):
- 15.5°, I 89
- 24.1°, I 82
- 27.9°, I 78
- 31.3°, I 100
- 32.5°, I 94
- 40.3°, I 90

=====

No. 4
Structure and computed powder XRD pattern of Er7Tm3In (a cell relaxed with GGA-PBE; Cu Kα, 1.54184 Å).
Neutral-atom scattering factors, no anomalous dispersion.

Crystal structure
Unit cell a=8.283 b=8.283 c=5.725 alpha=110.16 beta=110.16 gamma=84.78
Atoms (fractional coordinates):
Er 0.000 0.000 0.000
Er 0.100 0.525 0.312
Er 0.282 0.282 0.782
Er 0.475 0.900 0.688
Er 0.525 0.100 0.312
Er 0.718 0.718 0.218
Er 0.900 0.475 0.688
Tm 0.297 0.703 0.000
Tm 0.500 0.500 0.500
Tm 0.703 0.297 0.000
In 0.000 0.000 0.500

Main lines, sorted by position (2θ from 10° to 80°):
- 31.2°, I 64
- 32.1°, I 31
- 33.1°, I 100
- 33.4°, I 44
- 33.5°, I 43
- 45.4°, I 24

=====

No. 5
Structure and computed powder XRD pattern of Er2Tm2In5 (a cell relaxed with GGA-PBE; Cu Kα, 1.54184 Å).
Neutral-atom scattering factors, no anomalous dispersion.

Crystal structure
Unit cell a=10.521 b=10.521 c=10.521 alpha=146.43 beta=61.39 gamma=130.21
Atoms (fractional coordinates):
Er 0.000 0.000 0.000
Er 0.431 0.181 0.250
Er 0.500 0.000 0.500
Er 0.569 0.819 0.750
Tm 0.005 0.583 0.422
Tm 0.340 0.417 0.922
Tm 0.660 0.583 0.078
Tm 0.995 0.417 0.578
In 0.037 0.870 0.167
In 0.203 0.870 0.333
In 0.209 0.459 0.750
In 0.338 0.000 0.838
In 0.338 0.500 0.338
In 0.662 0.000 0.162
In 0.662 0.500 0.662
In 0.791 0.541 0.250
In 0.797 0.130 0.667
In 0.963 0.130 0.833

Main lines, sorted by position (2θ from 10° to 80°):
- 29.4°, I 43
- 30.7°, I 36
- 34.6°, I 49
- 34.7°, I 78
- 35.2°, I 100
- 56.0°, I 26

=====

No. 6
Structure and computed powder XRD pattern of Er7Tm4In (a cell relaxed with GGA-PBE; Cu Kα, 1.54184 Å).
Neutral-atom scattering factors, no anomalous dispersion.

Crystal structure
Unit cell a=6.653 b=6.653 c=12.082 alpha=111.48 beta=111.48 gamma=51.59
Atoms (fractional coordinates):
Er 0.000 0.000 0.000
Er 0.132 0.132 0.472
Er 0.298 0.298 0.082
Er 0.402 0.402 0.721
Er 0.598 0.598 0.279
Er 0.702 0.702 0.918
Er 0.868 0.868 0.528
Tm 0.129 0.129 0.769
Tm 0.361 0.361 0.383
Tm 0.639 0.639 0.617
Tm 0.871 0.871 0.231
In 0.500 0.500 0.000

Main lines, sorted by position (2θ from 10° to 80°):
- 30.3°, I 51
- 30.7°, I 59
- 30.9°, I 92
- 32.6°, I 100
- 32.7°, I 38
- 35.4°, I 48

=====

No. 7
Structure and computed powder XRD pattern of Er12TmIn6 (a cell relaxed with GGA-PBE; Cu Kα, 1.54184 Å).
Neutral-atom scattering factors, no anomalous dispersion.

Crystal structure
Unit cell a=8.110 b=8.110 c=8.110 alpha=88.63 beta=88.63 gamma=88.63
Atoms (fractional coordinates):
Er 0.075 0.130 0.383
Er 0.130 0.383 0.075
Er 0.194 0.474 0.562
Er 0.383 0.075 0.130
Er 0.438 0.806 0.526
Er 0.474 0.562 0.194
Er 0.526 0.438 0.806
Er 0.562 0.194 0.474
Er 0.617 0.925 0.870
Er 0.806 0.526 0.438
Er 0.870 0.617 0.925
Er 0.925 0.870 0.617
Tm 0.000 0.000 0.000
In 0.125 0.744 0.278
In 0.256 0.722 0.875
In 0.278 0.125 0.744
In 0.722 0.875 0.256
In 0.744 0.278 0.125
In 0.875 0.256 0.722

Main lines, sorted by position (2θ from 10° to 80°):
- 24.8°, I 23
- 32.4°, I 74
- 33.2°, I 96
- 33.5°, I 83
- 34.8°, I 51
- 35.3°, I 100

=====

No. 8
Structure and computed powder XRD pattern of ErTm7In2 (a cell relaxed with GGA-PBE; Cu Kα, 1.54184 Å).
Neutral-atom scattering factors, no anomalous dispersion.

Crystal structure
Unit cell a=8.868 b=8.868 c=5.328 alpha=90.00 beta=90.00 gamma=118.88
Atoms (fractional coordinates):
Er 0.000 0.000 0.000
Tm 0.060 0.301 0.500
Tm 0.226 0.774 0.000
Tm 0.301 0.060 0.500
Tm 0.500 0.500 0.500
Tm 0.699 0.940 0.500
Tm 0.774 0.226 0.000
Tm 0.940 0.699 0.500
In 0.304 0.696 0.500
In 0.696 0.304 0.500

Main lines, sorted by position (2θ from 10° to 80°):
- 28.8°, I 65
- 30.7°, I 82
- 33.6°, I 67
- 34.8°, I 87
- 35.3°, I 100
- 46.2°, I 54

=====

No. 9
Structure and computed powder XRD pattern of Er8Tm3In2 (a cell relaxed with GGA-PBE; Cu Kα, 1.54184 Å).
Neutral-atom scattering factors, no anomalous dispersion.

Crystal structure
Unit cell a=9.951 b=9.951 c=5.443 alpha=90.00 beta=90.00 gamma=131.75
Atoms (fractional coordinates):
Er 0.129 0.871 0.000
Er 0.178 0.410 0.500
Er 0.324 0.676 0.000
Er 0.410 0.178 0.500
Er 0.590 0.822 0.500
Er 0.676 0.324 0.000
Er 0.822 0.590 0.500
Er 0.871 0.129 0.000
Tm 0.000 0.000 0.500
Tm 0.297 0.297 0.000
Tm 0.703 0.703 0.000
In 0.232 0.768 0.500
In 0.768 0.232 0.500

Main lines, sorted by position (2θ from 10° to 80°):
- 24.0°, I 15
- 31.6°, I 38
- 32.9°, I 37
- 33.9°, I 100
- 59.4°, I 20
- 67.3°, I 14

=====

No. 10
Structure and computed powder XRD pattern of Er4TmIn3 (a cell relaxed with GGA-PBE; Cu Kα, 1.54184 Å).
Neutral-atom scattering factors, no anomalous dispersion.

Crystal structure
Unit cell a=4.798 b=4.798 c=18.651 alpha=90.00 beta=90.00 gamma=90.00
Atoms (fractional coordinates):
Er 0.000 0.500 0.131
Er 0.000 0.500 0.369
Er 0.000 0.500 0.631
Er 0.000 0.500 0.869
Er 0.500 0.000 0.131
Er 0.500 0.000 0.369
Er 0.500 0.000 0.631
Er 0.500 0.000 0.869
Tm 0.000 0.000 0.000
Tm 0.500 0.500 0.500
In 0.000 0.000 0.252
In 0.000 0.000 0.500
In 0.000 0.000 0.748
In 0.500 0.500 0.000
In 0.500 0.500 0.248
In 0.500 0.500 0.752

Main lines, sorted by position (2θ from 10° to 80°):
- 32.6°, I 100
- 37.5°, I 35
- 38.6°, I 15
- 54.1°, I 12
- 54.9°, I 22
- 64.6°, I 28

=====

No. 11
Structure and computed powder XRD pattern of ErTmIn (a cell relaxed with GGA-PBE; Cu Kα, 1.54184 Å).
Neutral-atom scattering factors, no anomalous dispersion.

Crystal structure
Unit cell a=3.507 b=4.516 c=10.269 alpha=90.00 beta=90.00 gamma=90.00
Atoms (fractional coordinates):
Er 0.000 0.000 0.000
Er 0.500 0.500 0.500
Tm 0.000 0.000 0.686
Tm 0.500 0.500 0.186
In 0.000 0.000 0.342
In 0.500 0.500 0.842

Main lines, sorted by position (2θ from 10° to 80°):
- 32.3°, I 100
- 32.8°, I 94
- 36.7°, I 69
- 39.9°, I 28
- 55.3°, I 42
- 63.0°, I 29

=====

No. 12
Structure and computed powder XRD pattern of Er5Tm5In2 (a cell relaxed with GGA-PBE; Cu Kα, 1.54184 Å).
Neutral-atom scattering factors, no anomalous dispersion.

Crystal structure
Unit cell a=7.832 b=7.832 c=10.764 alpha=115.93 beta=115.93 gamma=36.45
Atoms (fractional coordinates):
Er 0.000 0.000 0.000
Er 0.082 0.082 0.746
Er 0.253 0.253 0.264
Er 0.747 0.747 0.736
Er 0.918 0.918 0.254
Tm 0.335 0.335 0.003
Tm 0.410 0.410 0.736
Tm 0.500 0.500 0.500
Tm 0.590 0.590 0.264
Tm 0.665 0.665 0.997
In 0.157 0.157 0.500
In 0.843 0.843 0.500

Main lines, sorted by position (2θ from 10° to 80°):
- 31.8°, I 100
- 36.2°, I 18
- 36.7°, I 17
- 37.7°, I 15
- 62.4°, I 14
- 63.0°, I 14

=====

No. 13
Structure and computed powder XRD pattern of ErTmIn4 (a cell relaxed with GGA-PBE; Cu Kα, 1.54184 Å).
Neutral-atom scattering factors, no anomalous dispersion.

Crystal structure
Unit cell a=5.001 b=5.001 c=6.942 alpha=90.00 beta=90.00 gamma=120.00
Atoms (fractional coordinates):
Er 0.000 0.000 0.000
Tm 0.000 0.000 0.500
In 0.333 0.667 0.238
In 0.333 0.667 0.763
In 0.667 0.333 0.265
In 0.667 0.333 0.733

Main lines, sorted by position (2θ from 10° to 80°):
- 33.1°, I 100
- 35.9°, I 81
- 49.6°, I 32
- 62.8°, I 31
- 64.6°, I 14
- 65.5°, I 25